Starting from a structure optimized by DFT (PBE), the powder XRD pattern of Cs4GeI5 was calculated for a wavelength of 1.5418 Å.
Neutral-atom scattering factors, no anomalous dispersion.

Cell lengths 9.1943, 9.1943, 9.1943 Å; angles 100.36, 100.36, 129.83 degrees
Fractional positions:
1 Cs 0.0896 0.7039 0.7934
2 Cs 0.2961 0.0896 0.3857
3 Cs 0.7039 0.9104 0.6143
4 Cs 0.9104 0.2961 0.2066
5 Ge 0.5150 0.5150 0.0000
6 I 0.0401 0.0401 0.0000
7 I 0.2475 0.4198 0.6588
8 I 0.4198 0.7610 0.1723
9 I 0.5887 0.2475 0.8277
10 I 0.7610 0.5887 0.3412

The 8 most intense peaks (10 to 80 degrees two-theta), by angle:
Position (°2θ)  I/Imax
22.81  61
23.90  100
33.27  84
34.05  32
41.38  36
50.96  13
53.03  21
60.45  14